1.
The following is a theoretical X-ray powder pattern of VSnRh2. It was derived from the GGA-PBE geometry in the Materials Project, using Cu Kα.
Lines closer than 0.1° are merged.

Crystal structure
a = 4.3914 Å, b = 4.3914 Å, c = 4.3914 Å
α = 116.20°, β = 116.20°, γ = 96.72°
Sites, in units of the cell vectors:
1 V 0.0000 0.0000 0.0000
2 Sn 0.5000 0.5000 0.0000
3 Rh 0.2500 0.7500 0.5000
4 Rh 0.7500 0.2500 0.5000

Largest 10 diffraction maxima, in order of falling intensity, 10° ≤ 2θ ≤ 90°:
two_theta  I_rel
41.4  100
38.8  60
72.0  38
56.0  20
77.2  16
24.5  13
90.0  11
63.8  7
83.3  7
46.4  5

2.
The following is a theoretical X-ray powder pattern of YSnRh2. It was derived from the GGA-PBE geometry in the Materials Project, using Cu Kα.
Lines closer than 0.1° are merged.

Crystal structure
a = 4.7160 Å, b = 4.7160 Å, c = 4.7160 Å
α = 60.00°, β = 60.00°, γ = 60.00°
Sites, in units of the cell vectors:
1 Y 0.0000 0.0000 0.0000
2 Sn 0.5000 0.5000 0.5000
3 Rh 0.2500 0.2500 0.2500
4 Rh 0.7500 0.7500 0.7500

Largest 6 diffraction maxima, in order of falling intensity, 10° ≤ 2θ ≤ 90°:
two_theta  I_rel
38.2  100
69.0  35
55.1  17
81.7  11
23.1  1
45.1  1

3.
The following is a theoretical X-ray powder pattern of ZnSnRh2. It was derived from the GGA-PBE geometry in the Materials Project, using Cu Kα.
Lines closer than 0.1° are merged.

Crystal structure
a = 4.4429 Å, b = 4.4429 Å, c = 4.4429 Å
α = 60.00°, β = 60.00°, γ = 60.00°
Sites, in units of the cell vectors:
1 Zn 0.0000 0.0000 0.0000
2 Sn 0.5000 0.5000 0.5000
3 Rh 0.2500 0.2500 0.2500
4 Rh 0.7500 0.7500 0.7500

Largest 8 diffraction maxima, in order of falling intensity, 10° ≤ 2θ ≤ 90°:
two_theta  I_rel
40.6  100
73.9  34
58.8  17
87.9  11
24.5  4
48.0  2
64.7  1
79.2  1

Copy entry 1 word for word.
The following is a theoretical X-ray powder pattern of VSnRh2. It was derived from the GGA-PBE geometry in the Materials Project, using Cu Kα.
Lines closer than 0.1° are merged.

Crystal structure
a = 4.3914 Å, b = 4.3914 Å, c = 4.3914 Å
α = 116.20°, β = 116.20°, γ = 96.72°
Sites, in units of the cell vectors:
1 V 0.0000 0.0000 0.0000
2 Sn 0.5000 0.5000 0.0000
3 Rh 0.2500 0.7500 0.5000
4 Rh 0.7500 0.2500 0.5000

Largest 10 diffraction maxima, in order of falling intensity, 10° ≤ 2θ ≤ 90°:
two_theta  I_rel
41.4  100
38.8  60
72.0  38
56.0  20
77.2  16
24.5  13
90.0  11
63.8  7
83.3  7
46.4  5